Structure and simulated X-ray diffraction stick pattern of LaPmGe2O8 (DFT lattice parameters and positions (GGA-PBE); Cu Kα X-rays).

Main lines, in order of rising 2θ (15 to 90 degrees two-theta):
2θ/deg, d_spacing, intensity
28.5, 3.133, 100.0
30.3, 2.945, 15.7
34.3, 2.616, 20.1
46.4, 1.956, 29.4
52.8, 1.734, 17.7
57.9, 1.593, 28.2

Crystal structure
Unit cell a=5.2322 b=5.2322 c=11.7816 alpha=90.00 beta=90.00 gamma=90.00
Space group I-4 (No. 82)
Inequivalent atoms, fractional coordinates:
La 0.0000 0.0000 0.0000 [2 per cell]
Pm 0.0000 0.5000 0.7500 [2 per cell]
Ge 0.0000 0.0000 0.5000 [2 per cell]
Ge 0.0000 0.5000 0.2500 [2 per cell]
O 0.1357 0.2539 0.5812 [8 per cell]
O 0.1457 0.7533 0.1721 [8 per cell]